Diffraction record for NdGe2Pd5. The XRD peak list is calculated, not measured: it uses a crystal structure in Alexandria, relaxed with GGA-PBE and Cu Kα.
Kinematic intensities with the Lorentz-polarization factor, no thermal factor.

Principal peaks in the range 2θ = 5–70°, most intense first:
2θ 34.72, intensity 100; 2θ 35.43, intensity 98; 2θ 44.28, intensity 58; 2θ 45.88, intensity 38; 2θ 65.66, intensity 35; 2θ 43.81, intensity 30

Cell and atoms:
a b c (Å): 6.4510 6.4510 6.4510
angles (deg): 144.29 111.42 79.80
Sites, in units of the cell vectors:
Nd: 0.0000 0.0000 0.0000
Ge: 0.2511 0.7511 0.5000
Ge: 0.7489 0.2489 0.5000
Pd: 0.1588 0.3532 0.8056
Pd: 0.4523 0.6468 0.8056
Pd: 0.5000 0.0000 0.5000
Pd: 0.5477 0.3532 0.1944
Pd: 0.8412 0.6468 0.1944